Record 1
YIrRhO6: calculated X-ray powder pattern (CuKα), based on a cell relaxed with PBE.
Peak positions follow from Bragg's law for the DFT cell and can differ from measured ones.

Crystal structure
```
data_YIrRhO6
_cell_length_a 5.349
_cell_length_b 5.349
_cell_length_c 8.589
_cell_angle_alpha 90.00
_cell_angle_beta 90.00
_cell_angle_gamma 120.00
_space_group_name_H-M_alt 'P 1'
_space_group_IT_number 1
loop_
_space_group_symop_operation_xyz
'x,y,z'
loop_
_atom_site_label
_atom_site_fract_x
_atom_site_fract_y
_atom_site_fract_z
_atom_site_occupancy
Y1 0.333 0.667 0.250 1
Y2 0.667 0.333 0.750 1
Ir1 0.333 0.667 0.750 1
Ir2 0.667 0.333 0.250 1
Rh1 0.000 0.000 0.000 1
Rh2 0.000 0.000 0.500 1
O1 0.035 0.350 0.619 1
O2 0.035 0.684 0.881 1
O3 0.316 0.350 0.881 1
O4 0.316 0.965 0.619 1
O5 0.350 0.035 0.119 1
O6 0.350 0.316 0.381 1
O7 0.650 0.684 0.619 1
O8 0.650 0.965 0.881 1
O9 0.684 0.035 0.381 1
O10 0.684 0.650 0.119 1
O11 0.965 0.316 0.119 1
O12 0.965 0.650 0.381 1
```

Principal peaks in the range 2θ = 10–90°, most intense first:
d (Å), I (rel.), (hkl)
3.149, 100, 1 0 2
2.674, 60, 1 1 0
1.674, 47, 2 -1 4
2.038, 29, 2 0 2
1.621, 28, 2 1 2
4.077, 26, 1 0 1
2.270, 25, 1 1 2
1.544, 21, 3 0 0
4.294, 16, 0 0 2
1.135, 13, 2 2 4
1.231, 11, 3 1 2
1.254, 10, 3 0 4

=====

Record 2
IrRu2O6: calculated X-ray powder pattern (CuKα), based on a cell relaxed with PBE.
Peak positions follow from Bragg's law for the DFT cell and can differ from measured ones.

Crystal structure
```
data_IrRu2O6
_cell_length_a 8.774
_cell_length_b 8.774
_cell_length_c 4.344
_cell_angle_alpha 90.00
_cell_angle_beta 90.00
_cell_angle_gamma 120.00
_space_group_name_H-M_alt 'P 1'
_space_group_IT_number 1
loop_
_space_group_symop_operation_xyz
'x,y,z'
loop_
_atom_site_label
_atom_site_fract_x
_atom_site_fract_y
_atom_site_fract_z
_atom_site_occupancy
Ir1 0.000 0.000 0.000 1
Ir2 0.333 0.667 0.505 1
Ir3 0.667 0.333 0.495 1
Ru1 0.000 0.316 0.500 1
Ru2 0.000 0.650 0.000 1
Ru3 0.316 0.000 0.500 1
Ru4 0.350 0.350 0.000 1
Ru5 0.650 0.000 0.000 1
Ru6 0.684 0.684 0.500 1
O1 0.105 0.881 0.764 1
O2 0.111 0.539 0.751 1
O3 0.119 0.224 0.764 1
O4 0.212 0.770 0.264 1
O5 0.224 0.119 0.236 1
O6 0.230 0.442 0.264 1
O7 0.428 0.889 0.751 1
O8 0.442 0.230 0.736 1
O9 0.461 0.572 0.751 1
O10 0.539 0.111 0.249 1
O11 0.558 0.788 0.264 1
O12 0.572 0.461 0.249 1
O13 0.770 0.212 0.736 1
O14 0.776 0.895 0.764 1
O15 0.788 0.558 0.736 1
O16 0.881 0.105 0.236 1
O17 0.889 0.428 0.249 1
O18 0.895 0.776 0.236 1
```

Principal peaks in the range 2θ = 10–90°, most intense first:
d (Å), I (rel.), (hkl)
3.087, 100, 1 1 1
2.533, 94, 3 0 0
1.649, 81, 3 0 2
3.771, 61, 1 0 1
2.860, 53, 0 2 1
2.396, 47, 2 1 1
1.462, 30, 3 3 0
1.958, 25, 2 2 1
1.618, 25, 3 2 1
4.387, 23, 1 1 0
1.549, 22, 4 1 1
1.094, 19, 6 0 2

=====

Record 3
IrRu2O8: calculated X-ray powder pattern (CuKα), based on a cell relaxed with PBE.
Peak positions follow from Bragg's law for the DFT cell and can differ from measured ones.

Crystal structure
```
data_IrRu2O8
_cell_length_a 5.143
_cell_length_b 5.143
_cell_length_c 7.548
_cell_angle_alpha 90.00
_cell_angle_beta 90.00
_cell_angle_gamma 120.00
_space_group_name_H-M_alt 'P 1'
_space_group_IT_number 1
loop_
_space_group_symop_operation_xyz
'x,y,z'
loop_
_atom_site_label
_atom_site_fract_x
_atom_site_fract_y
_atom_site_fract_z
_atom_site_occupancy
Ir1 0.000 0.000 0.000 1
Ru1 0.333 0.667 0.751 1
Ru2 0.667 0.333 0.249 1
O1 0.024 0.326 0.848 1
O2 0.302 0.976 0.848 1
O3 0.326 0.302 0.152 1
O4 0.333 0.667 0.525 1
O5 0.667 0.333 0.475 1
O6 0.674 0.698 0.848 1
O7 0.698 0.024 0.152 1
O8 0.976 0.674 0.152 1
```

Principal peaks in the range 2θ = 10–90°, most intense first:
d (Å), I (rel.), (hkl)
3.836, 100, 1 0 1
7.548, 46, 0 0 1
2.879, 44, 1 0 2
2.571, 31, 1 1 0
2.191, 18, 0 1 3
1.521, 17, 2 -1 4
2.136, 17, 0 2 1
1.643, 16, 2 1 1
1.918, 15, 2 0 2
1.537, 14, 2 1 2
1.485, 10, 3 0 0
1.399, 9, 3 -2 3

=====

Record 4
YIrRuO6: calculated X-ray powder pattern (CuKα), based on a cell relaxed with PBE.
Peak positions follow from Bragg's law for the DFT cell and can differ from measured ones.

Crystal structure
```
data_YIrRuO6
_cell_length_a 5.280
_cell_length_b 5.280
_cell_length_c 8.778
_cell_angle_alpha 90.00
_cell_angle_beta 90.00
_cell_angle_gamma 120.00
_space_group_name_H-M_alt 'P 1'
_space_group_IT_number 1
loop_
_space_group_symop_operation_xyz
'x,y,z'
loop_
_atom_site_label
_atom_site_fract_x
_atom_site_fract_y
_atom_site_fract_z
_atom_site_occupancy
Y1 0.333 0.667 0.250 1
Y2 0.667 0.333 0.750 1
Ir1 0.333 0.667 0.750 1
Ir2 0.667 0.333 0.250 1
Ru1 0.000 0.000 0.000 1
Ru2 0.000 0.000 0.500 1
O1 0.032 0.338 0.619 1
O2 0.032 0.694 0.881 1
O3 0.306 0.338 0.881 1
O4 0.306 0.968 0.619 1
O5 0.338 0.032 0.119 1
O6 0.338 0.306 0.381 1
O7 0.662 0.694 0.619 1
O8 0.662 0.968 0.881 1
O9 0.694 0.032 0.381 1
O10 0.694 0.662 0.119 1
O11 0.968 0.306 0.119 1
O12 0.968 0.662 0.381 1
```

Principal peaks in the range 2θ = 10–90°, most intense first:
d (Å), I (rel.), (hkl)
3.166, 100, 1 0 2
2.640, 57, 1 1 0
1.688, 48, 2 -1 4
2.028, 28, 2 0 2
1.608, 27, 3 -1 2
2.262, 26, 1 1 2
4.055, 25, 1 0 1
1.524, 20, 3 0 0
4.389, 17, 0 0 2
1.131, 12, 2 2 4
1.218, 11, 3 1 2
1.252, 10, 3 0 4

=====

Record 5
Ir2SO: calculated X-ray powder pattern (CuKα), based on a cell relaxed with PBE.
Peak positions follow from Bragg's law for the DFT cell and can differ from measured ones.

Crystal structure
```
data_Ir2SO
_cell_length_a 5.437
_cell_length_b 5.437
_cell_length_c 8.341
_cell_angle_alpha 90.00
_cell_angle_beta 90.00
_cell_angle_gamma 90.00
_space_group_name_H-M_alt 'P 1'
_space_group_IT_number 1
loop_
_space_group_symop_operation_xyz
'x,y,z'
loop_
_atom_site_label
_atom_site_fract_x
_atom_site_fract_y
_atom_site_fract_z
_atom_site_occupancy
Ir1 0.243 0.250 0.125 1
Ir2 0.250 0.743 0.375 1
Ir3 0.250 0.757 0.875 1
Ir4 0.257 0.250 0.625 1
Ir5 0.743 0.750 0.625 1
Ir6 0.750 0.243 0.875 1
Ir7 0.750 0.257 0.375 1
Ir8 0.757 0.750 0.125 1
S1 0.000 0.000 0.500 1
S2 0.000 0.500 0.750 1
S3 0.500 0.000 0.250 1
S4 0.500 0.500 0.000 1
O1 0.000 0.000 0.000 1
O2 0.000 0.500 0.250 1
O3 0.500 0.000 0.750 1
O4 0.500 0.500 0.500 1
```

Principal peaks in the range 2θ = 10–90°, most intense first:
d (Å), I (rel.), (hkl)
2.827, 100, 1 1 2
1.590, 36, 3 1 2
2.718, 33, 2 0 0
1.655, 25, 2 0 4
1.922, 21, 2 2 0
1.413, 10, 2 2 4
1.307, 10, 1 1 6
2.085, 8, 0 0 4
1.225, 8, 3 3 2
1.359, 7, 4 0 0
1.216, 6, 4 2 0
1.139, 5, 4 0 4

=====

Record 6
IrS4O: calculated X-ray powder pattern (CuKα), based on a cell relaxed with PBE.
Peak positions follow from Bragg's law for the DFT cell and can differ from measured ones.

Crystal structure
```
data_IrS4O
_cell_length_a 3.639
_cell_length_b 8.295
_cell_length_c 8.729
_cell_angle_alpha 103.07
_cell_angle_beta 90.64
_cell_angle_gamma 95.45
_space_group_name_H-M_alt 'P 1'
_space_group_IT_number 1
loop_
_space_group_symop_operation_xyz
'x,y,z'
loop_
_atom_site_label
_atom_site_fract_x
_atom_site_fract_y
_atom_site_fract_z
_atom_site_occupancy
Ir1 0.000 0.000 0.000 1
Ir2 0.500 0.500 0.500 1
S1 0.016 0.572 0.681 1
S2 0.240 0.847 0.769 1
S3 0.430 0.741 0.412 1
S4 0.465 0.809 0.981 1
S5 0.535 0.191 0.019 1
S6 0.570 0.259 0.588 1
S7 0.760 0.153 0.231 1
S8 0.984 0.428 0.319 1
O1 0.345 0.235 0.726 1
O2 0.655 0.765 0.274 1
```

Principal peaks in the range 2θ = 10–90°, most intense first:
d (Å), I (rel.), (hkl)
6.646, 100, 0 1 -1
5.271, 49, 0 1 1
2.588, 19, -1 1 2
4.249, 18, 0 0 2
3.291, 17, 1 0 1
2.156, 15, 1 -2 3
3.323, 14, 0 2 -2
2.267, 13, 1 0 -3
3.184, 11, 1 1 0
2.742, 11, 0 3 -1
2.413, 10, 1 1 2
1.759, 9, 1 2 3